Diffraction record for CsAgHgI4. The powder diffraction line list is computed, not measured: it uses a structure optimized by DFT (GGA-PBE) and Cu Kα (λ = 1.5418 Å).
Neutral-atom scattering factors, no anomalous dispersion.

Cell and atoms:
```
CsAgHgI4
1.0
7.4626 0.0000 0.0000
0.0000 8.6004 0.0000
-2.7202 0.0000 10.1256
Cs Ag Hg I
2 2 2 8
Direct
0.2300 0.2500 0.0716
0.7700 0.7500 0.9284
0.3154 0.2500 0.6986
0.6846 0.7500 0.3014
0.1967 0.7500 0.3393
0.8033 0.2500 0.6607
0.0633 0.0003 0.7216
0.0633 0.4997 0.7216
0.3464 0.7500 0.0919
0.4646 0.2500 0.4730
0.5354 0.7500 0.5270
0.6536 0.2500 0.9081
0.9367 0.9997 0.2784
0.9367 0.5003 0.2784
```

Principal peaks in the range 5 to 70 degrees two-theta, low angle first:
hkl 0 1 1, 6.555 Å, 13.5 deg, rel. 100
hkl 0 2 0, 4.300 Å, 20.7 deg, rel. 53
hkl 1 0 2, 3.714 Å, 24.0 deg, rel. 52
hkl 1 2 0, 3.693 Å, 24.1 deg, rel. 58
hkl 1 0 -3, 3.415 Å, 26.1 deg, rel. 87
hkl 2 2 0, 2.761 Å, 32.4 deg, rel. 51
hkl 2 2 -3, 2.382 Å, 37.8 deg, rel. 71
hkl 0 4 0, 2.151 Å, 42.0 deg, rel. 51